Calculated powder diffraction line list
Compound: Pa3B9Mo2
Radiation: Cu Kα (λ = 1.5418 Å)
Structure: a crystal structure in Alexandria, relaxed with GGA-PBE
Intensities are scaled so that the largest is 100.

The 6 most intense peaks (2θ from 15° to 90°), by intensity:
2θ = 30.8°, rel. 100.0, hkl 1 1 0
2θ = 40.2°, rel. 79.0, hkl 1 1 4
2θ = 25.2°, rel. 78.7, hkl 0 0 4
2θ = 42.1°, rel. 68.7, hkl 1 2 3
2θ = 22.3°, rel. 55.1, hkl 0 1 3
2θ = 23.7°, rel. 44.8, hkl 0 2 0

Atomic structure:
Unit cell a=3.148 b=7.513 c=14.109 alpha=90.00 beta=90.00 gamma=90.00
Space group Immm (No. 71)
Asymmetric unit:
Pa1 0.000 0.000 0.000 [2 per cell]
Pa2 0.000 0.000 0.279 [4 per cell]
B1 0.000 0.247 0.136 [8 per cell]
B2 0.000 0.363 0.360 [8 per cell]
B3 0.000 0.500 0.000 [2 per cell]
Mo1 0.000 0.194 0.500 [4 per cell]